[1]
This entry pairs a crystal structure of VH17C4S4O20F12 with its theoretical PXRD pattern. Radiation: Cu Kα. Structure: the GGA+U geometry in the Materials Project.

Main lines, sorted by position (5° ≤ 2θ ≤ 70°):
hkl, 2θ (°), d/Å, I (rel.)
0 1 0, 10.43, 8.479, 23
1 0 -1, 15.60, 5.680, 26
-1 1 1, 16.56, 5.354, 21
1 -1 1, 17.93, 4.948, 100
1 1 2, 19.29, 4.601, 73
0 2 1, 19.88, 4.466, 81
2 0 0, 20.31, 4.372, 54
1 1 -1, 20.81, 4.269, 30
0 0 3, 29.48, 3.030, 64
-1 1 3, 31.72, 2.821, 21

Structure:
```
data_VH17C4S4O20F12
_chemical_formula_sum 'V1 H17 C4 S4 O20 F12'
_cell_length_a 8.9989
_cell_length_b 9.0198
_cell_length_c 9.9381
_cell_angle_alpha 70.21
_cell_angle_beta 76.63
_cell_angle_gamma 87.81
_space_group_name_H-M_alt 'P -1'
_space_group_IT_number 2
loop_
_space_group_symop_operation_xyz
'x,y,z'
'-x,-y,-z'
loop_
_atom_site_label
_atom_site_type_symbol
_atom_site_fract_x
_atom_site_fract_y
_atom_site_fract_z
V1 V 0.0000 0.0000 0.0000
H1 H 0.0132 0.3153 0.8407
H2 H 0.1231 0.8245 0.8338
H3 H 0.1768 0.1125 0.1347
H4 H 0.1860 0.2458 0.8136
H5 H 0.2340 0.9368 0.1469
H6 H 0.2641 0.9393 0.8337
H7 H 0.3515 0.6524 0.9808
H8 H 0.4753 0.2843 0.1090
H9 H 0.5000 0.5000 0.0000
C1 C 0.0765 0.2972 0.4234
C2 C 0.4267 0.7859 0.4540
S1 S 0.0858 0.3630 0.2212
S2 S 0.4918 0.1563 0.7484
O1 O 0.0645 0.6859 0.7861
O2 O 0.0737 0.2189 0.8550
O3 O 0.1162 0.5334 0.1685
O4 O 0.1556 0.0141 0.1158
O5 O 0.1557 0.8956 0.8811
O6 O 0.2135 0.2773 0.1641
O7 O 0.3692 0.2644 0.7638
O8 O 0.3791 0.8216 0.1940
O9 O 0.4393 0.9905 0.7908
O10 O 0.4602 0.6336 0.9737
F1 F 0.0489 0.6489 0.5064
F2 F 0.0694 0.1379 0.4785
F3 F 0.2019 0.3515 0.4478
F4 F 0.3031 0.8712 0.4804
F5 F 0.3839 0.6313 0.5100
F6 F 0.4691 0.1864 0.4773
```

[2]
This entry pairs a crystal structure of VH17C4S4O20F12 with its theoretical PXRD pattern. Radiation: Cu Kα. Structure: the GGA+U geometry in the Materials Project.

Main lines, sorted by position (5° ≤ 2θ ≤ 70°):
hkl, 2θ (°), d/Å, I (rel.)
1 -1 1, 18.70, 4.746, 81
0 2 1, 20.04, 4.430, 72
2 0 0, 20.44, 4.344, 100
0 2 0, 20.82, 4.267, 23
1 1 -1, 20.93, 4.243, 25
2 1 1, 21.63, 4.108, 25
1 2 0, 23.09, 3.851, 35
1 1 3, 29.39, 3.039, 26
0 0 3, 31.80, 2.814, 49
-1 1 3, 34.07, 2.631, 25

Structure:
```
data_VH17C4S4O20F12
_chemical_formula_sum 'V1 H17 C4 S4 O20 F12'
_cell_length_a 8.9344
_cell_length_b 9.0609
_cell_length_c 9.1752
_cell_angle_alpha 70.49
_cell_angle_beta 76.49
_cell_angle_gamma 84.85
_space_group_name_H-M_alt 'P -1'
_space_group_IT_number 2
loop_
_space_group_symop_operation_xyz
'x,y,z'
'-x,-y,-z'
loop_
_atom_site_label
_atom_site_type_symbol
_atom_site_fract_x
_atom_site_fract_y
_atom_site_fract_z
V1 V 0.0000 0.0000 0.0000
H1 H 0.0066 0.6835 0.1532
H2 H 0.1426 0.8203 0.8268
H3 H 0.1721 0.2502 0.8162
H4 H 0.1782 0.0979 0.1498
H5 H 0.2356 0.9197 0.1555
H6 H 0.2773 0.9341 0.8310
H7 H 0.4153 0.3109 0.0969
H8 H 0.4393 0.6815 0.0476
H9 H 0.5000 0.5000 0.0000
C1 C 0.0680 0.2914 0.4472
C2 C 0.4225 0.7819 0.4719
S1 S 0.0908 0.3613 0.2270
S2 S 0.4943 0.1736 0.7453
O1 O 0.0556 0.6716 0.7985
O2 O 0.0615 0.2215 0.8608
O3 O 0.1292 0.5264 0.1779
O4 O 0.1548 0.0019 0.1290
O5 O 0.1664 0.9062 0.8621
O6 O 0.2208 0.2633 0.1751
O7 O 0.3622 0.2792 0.7553
O8 O 0.3797 0.7887 0.1937
O9 O 0.4596 0.0066 0.8009
O10 O 0.4819 0.6411 0.9578
F1 F 0.0599 0.1335 0.5037
F2 F 0.0624 0.6478 0.4849
F3 F 0.1891 0.3363 0.4864
F4 F 0.2931 0.8696 0.4929
F5 F 0.3878 0.6293 0.5422
F6 F 0.4750 0.1809 0.4587
```

[3]
This entry pairs a crystal structure of VH4C4O6F with its theoretical PXRD pattern. Radiation: Cu Kα. Structure: the GGA+U geometry in the Materials Project.

Main lines, sorted by position (5° ≤ 2θ ≤ 70°):
hkl, 2θ (°), d/Å, I (rel.)
0 1 1, 13.69, 6.469, 38
0 2 0, 15.50, 5.718, 72
0 0 2, 22.67, 3.923, 26
1 1 -1, 24.08, 3.696, 100
0 3 1, 25.99, 3.429, 13
0 2 2, 27.62, 3.230, 19
1 1 -2, 28.30, 3.154, 11
0 4 1, 33.36, 2.686, 16
0 1 3, 35.20, 2.549, 14
0 2 3, 37.84, 2.378, 15

Structure:
```
data_VH4C4O6F
_chemical_formula_sum 'V2 H8 C8 O12 F2'
_cell_length_a 3.9626
_cell_length_b 11.4358
_cell_length_c 8.2686
_cell_angle_alpha 90.00
_cell_angle_beta 108.42
_cell_angle_gamma 90.00
_space_group_name_H-M_alt 'P 1 21/c 1'
_space_group_IT_number 14
loop_
_space_group_symop_operation_xyz
'x,y,z'
'-x,-y,-z'
'-x,y+1/2,-z+1/2'
'x,-y+1/2,z+1/2'
loop_
_atom_site_label
_atom_site_type_symbol
_atom_site_fract_x
_atom_site_fract_y
_atom_site_fract_z
V1 V 0.0000 0.0000 0.0000
H1 H 0.1330 0.2286 0.9842
H2 H 0.2335 0.6941 0.6817
C1 C 0.3408 0.0284 0.3820
C2 C 0.4667 0.0809 0.5530
O1 O 0.0389 0.6665 0.5798
O2 O 0.1436 0.0669 0.2409
O3 O 0.4251 0.1786 0.6152
F1 F 0.5000 0.0000 0.0000
```

[4]
This entry pairs a crystal structure of LiMnCO3F2 with its theoretical PXRD pattern. Radiation: Cu Kα. Structure: the GGA+U geometry in the Materials Project.

Main lines, sorted by position (5° ≤ 2θ ≤ 70°):
hkl, 2θ (°), d/Å, I (rel.)
1 0 1, 16.56, 5.352, 50
0 1 1, 17.66, 5.022, 100
1 1 1, 21.65, 4.106, 63
2 0 0, 24.98, 3.564, 34
1 0 2, 25.28, 3.523, 52
0 2 0, 27.88, 3.200, 78
1 1 2, 28.93, 3.086, 34
1 0 3, 35.54, 2.526, 60
3 0 2, 44.19, 2.050, 61
1 3 2, 49.98, 1.825, 30

Structure:
```
data_LiMnCO3F2
_chemical_formula_sum 'Li4 Mn4 C4 O12 F8'
_cell_length_a 7.1282
_cell_length_b 6.3993
_cell_length_c 8.1045
_cell_angle_alpha 90.00
_cell_angle_beta 90.00
_cell_angle_gamma 90.00
_space_group_name_H-M_alt 'P n m a'
_space_group_IT_number 62
loop_
_space_group_symop_operation_xyz
'x,y,z'
'-x,-y,-z'
'-x+1/2,-y,z+1/2'
'x+1/2,y,-z+1/2'
'x+1/2,-y+1/2,-z+1/2'
'-x+1/2,y+1/2,z+1/2'
'-x,y+1/2,-z'
'x,-y+1/2,z'
loop_
_atom_site_label
_atom_site_type_symbol
_atom_site_fract_x
_atom_site_fract_y
_atom_site_fract_z
Li1 Li 0.2379 0.2500 0.2097
Mn1 Mn 0.0728 0.2500 0.6235
C1 C 0.0744 0.7500 0.0470
O1 O 0.0887 0.2500 0.0048
O2 O 0.1212 0.7500 0.2070
O3 O 0.2270 0.7500 0.9547
F1 F 0.0758 0.5433 0.6413
```

[5]
This entry pairs a crystal structure of LiVCO3F2 with its theoretical PXRD pattern. Radiation: Cu Kα. Structure: the GGA+U geometry in the Materials Project.

Main lines, sorted by position (5° ≤ 2θ ≤ 70°):
hkl, 2θ (°), d/Å, I (rel.)
0 1 1, 16.54, 5.359, 100
1 0 1, 18.39, 4.825, 55
0 2 0, 26.74, 3.334, 80
1 1 2, 28.57, 3.124, 29
2 0 0, 31.31, 2.857, 29
0 1 3, 32.71, 2.738, 26
0 2 2, 33.44, 2.679, 26
1 0 3, 33.73, 2.657, 55
0 3 1, 41.86, 2.158, 25
1 3 2, 48.37, 1.882, 28

Structure:
```
data_LiVCO3F2
_chemical_formula_sum 'Li4 V4 C4 O12 F8'
_cell_length_a 5.7147
_cell_length_b 6.6677
_cell_length_c 9.0055
_cell_angle_alpha 90.00
_cell_angle_beta 90.00
_cell_angle_gamma 90.00
_space_group_name_H-M_alt 'P n m a'
_space_group_IT_number 62
loop_
_space_group_symop_operation_xyz
'x,y,z'
'-x,-y,-z'
'-x+1/2,-y,z+1/2'
'x+1/2,y,-z+1/2'
'x+1/2,-y+1/2,-z+1/2'
'-x+1/2,y+1/2,z+1/2'
'-x,y+1/2,-z'
'x,-y+1/2,z'
loop_
_atom_site_label
_atom_site_type_symbol
_atom_site_fract_x
_atom_site_fract_y
_atom_site_fract_z
Li1 Li 0.2184 0.2500 0.2269
V1 V 0.0244 0.2500 0.6106
C1 C 0.0378 0.7500 0.0495
O1 O 0.1297 0.7500 0.1837
O2 O 0.1801 0.2500 0.9790
O3 O 0.1964 0.7500 0.9478
F1 F 0.0449 0.5362 0.6566
```